CaDyFe4O12: simulated XRD peak list (Cu Kα), based on a cell relaxed with GGA+U.
Intensities are scaled so that the largest is 100.

Peak list (10 most intense, 2θ from 5° to 70°, sorted by position)
2theta  I/Imax
11.6  29
16.6  27
20.3  100
33.4  43
33.5  48
33.6  46
47.8  22
48.1  19
48.4  20
59.7  19

Atomic structure:
```
data_CaDyFe4O12
_cell_length_a 7.616
_cell_length_b 5.336
_cell_length_c 5.336
_cell_angle_alpha 89.64
_cell_angle_beta 90.00
_cell_angle_gamma 90.00
_symmetry_space_group_name_H-M 'P 1'
_symmetry_Int_Tables_number 1
_symmetry_space_group_name_Hall 'P 1'
loop_
_atom_site_label
_atom_site_type_symbol
_atom_site_fract_x
_atom_site_fract_y
_atom_site_fract_z
Ca1 Ca 0.000 0.000 0.000
Dy1 Dy 0.500 0.546 0.546
Fe1 Fe 0.249 0.028 0.517
Fe2 Fe 0.249 0.517 0.028
Fe3 Fe 0.751 0.028 0.517
Fe4 Fe 0.751 0.517 0.028
O1 O 0.000 0.047 0.492
O2 O 0.000 0.492 0.047
O3 O 0.238 0.741 0.741
O4 O 0.247 0.242 0.802
O5 O 0.247 0.802 0.242
O6 O 0.293 0.316 0.316
O7 O 0.500 0.537 0.977
O8 O 0.500 0.977 0.537
O9 O 0.707 0.316 0.316
O10 O 0.753 0.242 0.802
O11 O 0.753 0.802 0.242
O12 O 0.762 0.741 0.741
```